(1)
Computed powder X-ray diffraction pattern of Mg5Ga3 for Cu Kα, 1.54184 Å, from a structure optimized by DFT (GGA-PBE).
No peak broadening, texture or thermal motion is included.

Main lines, by angle (2θ from 15° to 90°):
2theta  d (Å)  I_rel
19.36  4.584  14.6
21.15  4.200  31.7
28.65  3.116  15.2
29.34  3.044  14.4
35.88  2.503  100.0
36.45  2.465  96.4
41.47  2.178  66.2
43.07  2.100  29.9
47.00  1.933  15.6
61.33  1.512  39.8
71.66  1.317  23.9
72.71  1.300  23.4

Structural model:
```
Mg5Ga3
1.0
0.0000 4.2003 6.2320
3.0443 0.0000 6.2320
3.0443 4.2003 0.0000
Mg Ga
5 3
direct
0.0000 0.0000 0.0000
0.1289 0.1289 0.3711
0.3711 0.3711 0.1289
0.6289 0.6289 0.8711
0.8711 0.8711 0.6289
0.2459 0.2459 0.7541
0.5000 0.5000 0.5000
0.7541 0.7541 0.2459
```

(2)
Computed powder X-ray diffraction pattern of Na2Li2Cd15 for Cu Kα, 1.54184 Å, from a structure optimized by DFT (GGA-PBE).
No peak broadening, texture or thermal motion is included.

Main lines, by angle (2θ from 15° to 90°):
2theta  d (Å)  I_rel
17.45  5.081  87.6
31.16  2.870  14.5
35.37  2.538  100.0
35.55  2.525  32.8
35.98  2.496  15.7
39.71  2.270  88.5
39.86  2.262  18.3
50.99  1.791  9.2
57.38  1.606  10.2
63.41  1.467  13.0
63.74  1.460  10.2
74.86  1.268  10.9

Structural model:
```
Na2Li2Cd15
1.0
5.0812 2.9336 5.0509
-5.0812 2.9336 5.0509
0.0000 -5.8673 5.0509
Na Li Cd
2 2 15
direct
0.1595 0.1595 0.1595
0.8405 0.8405 0.8405
0.4010 0.4010 0.4010
0.5990 0.5990 0.5990
0.0000 0.5000 0.5000
0.1424 0.1424 0.6519
0.1424 0.6519 0.1424
0.2056 0.5000 0.7944
0.2056 0.7944 0.5000
0.3481 0.8576 0.8576
0.5000 0.0000 0.5000
0.5000 0.2056 0.7944
0.5000 0.5000 0.0000
0.5000 0.7944 0.2056
0.6519 0.1424 0.1424
0.7944 0.2056 0.5000
0.7944 0.5000 0.2056
0.8576 0.3481 0.8576
0.8576 0.8576 0.3481
```

(3)
Computed powder X-ray diffraction pattern of Rb3CeBr6 for Cu Kα, 1.54184 Å, from a structure optimized by DFT (GGA-PBE).
No peak broadening, texture or thermal motion is included.

Main lines, by angle (2θ from 15° to 90°):
2theta  d (Å)  I_rel
20.91  4.248  67.8
21.25  4.181  64.3
23.87  3.728  42.3
24.84  3.585  39.9
25.24  3.529  96.7
27.26  3.271  46.7
29.73  3.005  100.0
30.25  2.955  52.4
33.24  2.695  86.2
36.64  2.453  53.8
37.25  2.414  77.3
37.86  2.376  80.2

Structural model:
```
Rb3CeBr6
1.0
8.2346 0.0000 0.0000
0.0000 8.7960 0.0000
-7.9756 0.0000 11.8200
Rb Ce Br
6 2 12
direct
0.0000 0.0000 0.0000
0.0000 0.5000 0.5000
0.2148 0.0748 0.7436
0.2148 0.4252 0.2436
0.7852 0.5748 0.7564
0.7852 0.9252 0.2564
0.5000 0.0000 0.5000
0.5000 0.5000 0.0000
0.1572 0.1780 0.4437
0.1572 0.3220 0.9437
0.2560 0.7243 0.4232
0.2560 0.7757 0.9232
0.4018 0.0581 0.2714
0.4018 0.4419 0.7714
0.5982 0.5581 0.2286
0.5982 0.9419 0.7286
0.7440 0.2243 0.0768
0.7440 0.2757 0.5768
0.8428 0.6780 0.0563
0.8428 0.8220 0.5563
```

Please write out number 2 again, unchanged.
Computed powder X-ray diffraction pattern of Na2Li2Cd15 for Cu Kα, 1.54184 Å, from a structure optimized by DFT (GGA-PBE).
No peak broadening, texture or thermal motion is included.

Main lines, by angle (2θ from 15° to 90°):
2theta  d (Å)  I_rel
17.45  5.081  87.6
31.16  2.870  14.5
35.37  2.538  100.0
35.55  2.525  32.8
35.98  2.496  15.7
39.71  2.270  88.5
39.86  2.262  18.3
50.99  1.791  9.2
57.38  1.606  10.2
63.41  1.467  13.0
63.74  1.460  10.2
74.86  1.268  10.9

Structural model:
```
Na2Li2Cd15
1.0
5.0812 2.9336 5.0509
-5.0812 2.9336 5.0509
0.0000 -5.8673 5.0509
Na Li Cd
2 2 15
direct
0.1595 0.1595 0.1595
0.8405 0.8405 0.8405
0.4010 0.4010 0.4010
0.5990 0.5990 0.5990
0.0000 0.5000 0.5000
0.1424 0.1424 0.6519
0.1424 0.6519 0.1424
0.2056 0.5000 0.7944
0.2056 0.7944 0.5000
0.3481 0.8576 0.8576
0.5000 0.0000 0.5000
0.5000 0.2056 0.7944
0.5000 0.5000 0.0000
0.5000 0.7944 0.2056
0.6519 0.1424 0.1424
0.7944 0.2056 0.5000
0.7944 0.5000 0.2056
0.8576 0.3481 0.8576
0.8576 0.8576 0.3481
```